1.
Simulated PXRD pattern of U2Ni2PbS6 for Cu Ka, from a cell relaxed with GGA-PBE.
Lines closer than 0.1° are merged.

Most intense lines, 10 to 90 degrees two-theta, most intense first:
- 2θ = 15.14°, rel. 100
- 2θ = 29.77°, rel. 65
- 2θ = 28.86°, rel. 42
- 2θ = 25.70°, rel. 41
- 2θ = 25.20°, rel. 37
- 2θ = 29.86°, rel. 37

Cell and atoms:
```
U2Ni2PbS6
1.0
6.935 0.000 0.000
3.463 6.100 0.000
3.294 1.772 6.017
U Ni Pb S
2 2 1 6
Cartesian
3.437 3.295 1.038
10.255 4.577 4.978
7.352 7.222 5.046
6.341 0.650 0.971
6.846 3.936 3.008
5.595 5.953 4.818
4.265 2.555 3.466
5.617 4.667 0.356
8.076 3.206 5.661
9.428 5.318 2.551
8.098 1.920 1.199
```

---

2.
Simulated PXRD pattern of ZrNiPbS4 for Cu Ka, from a cell relaxed with GGA-PBE.
Lines closer than 0.1° are merged.

Most intense lines, 10 to 90 degrees two-theta, most intense first:
- 2θ = 21.79°, rel. 100
- 2θ = 34.35°, rel. 68
- 2θ = 28.10°, rel. 68
- 2θ = 30.93°, rel. 59
- 2θ = 33.05°, rel. 57
- 2θ = 45.23°, rel. 54

Cell and atoms:
```
ZrNiPbS4
1.0
6.476 0.000 0.000
0.000 5.421 0.000
-2.450 0.000 7.979
Zr Ni Pb S
2 2 2 8
Cartesian
0.411 1.355 3.540
3.616 4.066 4.440
-0.046 4.066 5.242
4.072 1.355 2.737
-0.852 1.355 7.589
4.878 4.066 0.391
-0.580 4.066 3.140
-1.702 4.066 6.803
2.426 2.716 2.356
2.426 5.415 2.356
1.600 0.006 5.624
1.600 2.704 5.624
5.728 1.355 1.176
4.607 1.355 4.840
```

---

3.
Simulated PXRD pattern of TaNiPbSe3 for Cu Ka, from a cell relaxed with GGA-PBE.
Lines closer than 0.1° are merged.

Most intense lines, 10 to 90 degrees two-theta, most intense first:
- 2θ = 31.80°, rel. 100
- 2θ = 20.98°, rel. 43
- 2θ = 37.71°, rel. 36
- 2θ = 22.00°, rel. 30
- 2θ = 10.95°, rel. 30
- 2θ = 31.52°, rel. 28

Cell and atoms:
```
TaNiPbSe3
1.0
9.472 0.000 0.000
0.000 3.501 0.000
-4.266 0.000 8.514
Ta Ni Pb Se
2 2 2 6
Cartesian
1.150 0.875 1.513
4.055 2.626 7.001
2.268 2.626 3.321
2.938 0.875 5.193
-0.669 2.626 6.521
5.875 0.875 1.994
-3.434 0.875 7.291
0.794 0.875 4.017
3.020 2.626 1.039
2.186 0.875 7.475
4.412 2.626 4.497
8.639 2.626 1.223
```

---

4.
Simulated PXRD pattern of TiNiPbSe3 for Cu Ka, from a cell relaxed with GGA-PBE.
Lines closer than 0.1° are merged.

Most intense lines, 10 to 90 degrees two-theta, most intense first:
- 2θ = 33.65°, rel. 100
- 2θ = 30.60°, rel. 73
- 2θ = 30.08°, rel. 59
- 2θ = 27.14°, rel. 56
- 2θ = 38.07°, rel. 43
- 2θ = 36.47°, rel. 35

Cell and atoms:
```
TiNiPbSe3
1.0
7.642 0.000 0.000
0.000 3.715 0.000
-3.613 0.000 9.190
Ti Ni Pb Se
2 2 2 6
Cartesian
0.987 0.929 1.694
3.042 2.787 7.496
1.740 2.787 3.623
2.290 0.929 5.566
-1.044 2.787 6.517
5.074 0.929 2.673
-2.746 0.929 8.146
0.302 0.929 4.104
2.741 2.787 1.486
1.289 0.929 7.703
3.728 2.787 5.086
6.775 2.787 1.043
```

---

5.
Simulated PXRD pattern of SiNi2Pb for Cu Ka, from a cell relaxed with GGA-PBE.
Lines closer than 0.1° are merged.

Most intense lines, 10 to 90 degrees two-theta, most intense first:
- 2θ = 27.02°, rel. 100
- 2θ = 31.32°, rel. 66
- 2θ = 47.73°, rel. 56
- 2θ = 41.98°, rel. 53
- 2θ = 41.88°, rel. 51
- 2θ = 31.42°, rel. 48

Cell and atoms:
```
SiNi2Pb
1.0
6.601 0.000 0.000
0.000 3.811 0.000
-0.021 0.000 5.689
Si Ni Pb
2 4 2
Cartesian
0.000 0.000 0.000
3.301 1.905 0.000
1.079 1.905 5.187
2.201 0.000 0.771
4.380 0.000 5.187
5.502 1.905 0.771
1.107 1.905 2.550
4.407 0.000 2.550
```

---

6.
Simulated PXRD pattern of Sm5Ni2Pb5 for Cu Ka, from a cell relaxed with GGA-PBE.
Lines closer than 0.1° are merged.

Most intense lines, 10 to 90 degrees two-theta, most intense first:
- 2θ = 30.62°, rel. 100
- 2θ = 36.05°, rel. 82
- 2θ = 31.83°, rel. 51
- 2θ = 40.35°, rel. 45
- 2θ = 52.28°, rel. 31
- 2θ = 34.69°, rel. 27

Cell and atoms:
```
Sm5Ni2Pb5
1.0
8.366 -2.235 0.000
8.366 2.235 0.000
-7.644 0.000 8.698
Sm Ni Pb
5 2 5
Cartesian
0.000 0.000 0.000
-1.160 0.000 3.641
-3.093 0.000 7.102
12.181 0.000 1.596
10.248 0.000 5.057
0.313 0.000 6.535
8.776 0.000 2.163
1.835 0.000 2.599
6.228 0.000 1.271
4.544 0.000 4.349
2.860 0.000 7.427
7.253 0.000 6.099
```

---

7.
Simulated PXRD pattern of Tb12Ni5Pb for Cu Ka, from a cell relaxed with GGA-PBE.
Lines closer than 0.1° are merged.

Most intense lines, 10 to 90 degrees two-theta, most intense first:
- 2θ = 32.05°, rel. 100
- 2θ = 34.30°, rel. 67
- 2θ = 34.52°, rel. 66
- 2θ = 29.91°, rel. 41
- 2θ = 35.27°, rel. 38
- 2θ = 29.17°, rel. 35

Cell and atoms:
```
Tb12Ni5Pb
1.0
-4.711 4.826 4.986
4.711 -4.826 4.986
4.711 4.826 -4.986
Tb Ni Pb
12 5 1
Cartesian
4.711 2.978 -2.911
2.789 1.746 0.000
6.633 1.746 0.000
1.822 4.826 -1.785
2.889 0.000 3.201
0.000 1.848 2.075
4.711 2.978 2.911
1.822 4.826 1.785
2.889 0.000 6.771
-1.922 3.080 4.986
1.922 3.080 4.986
0.000 1.848 7.897
0.000 0.000 0.000
4.711 0.000 1.234
0.000 3.543 0.000
0.000 6.108 0.000
0.000 4.826 3.752
0.000 0.000 4.986
```

---

8.
Simulated PXRD pattern of Ni4TePb for Cu Ka, from a cell relaxed with GGA-PBE.
Lines closer than 0.1° are merged.

Most intense lines, 10 to 90 degrees two-theta, most intense first:
- 2θ = 41.75°, rel. 100
- 2θ = 35.38°, rel. 63
- 2θ = 67.87°, rel. 31
- 2θ = 63.51°, rel. 24
- 2θ = 74.85°, rel. 22
- 2θ = 21.45°, rel. 17

Cell and atoms:
```
Ni4TePb
1.0
0.000 3.588 3.588
3.588 0.000 3.588
3.588 3.588 0.000
Ni Te Pb
4 1 1
Cartesian
0.895 0.895 0.895
2.693 2.693 0.895
2.693 0.895 2.693
0.895 2.693 2.693
5.382 5.382 5.382
3.588 3.588 3.588
```

---

9.
Simulated PXRD pattern of NiTe2Pb for Cu Ka, from a cell relaxed with GGA-PBE.
Lines closer than 0.1° are merged.

Most intense lines, 10 to 90 degrees two-theta, most intense first:
- 2θ = 32.73°, rel. 100
- 2θ = 30.52°, rel. 63
- 2θ = 46.20°, rel. 53
- 2θ = 59.33°, rel. 28
- 2θ = 26.47°, rel. 28
- 2θ = 27.33°, rel. 27

Cell and atoms:
```
NiTe2Pb
1.0
3.930 0.000 0.000
-1.965 3.404 0.000
0.000 0.000 22.996
Ni Te Pb
3 6 3
Cartesian
0.000 0.000 0.000
0.000 2.269 15.331
1.965 1.135 7.665
0.000 0.000 8.997
0.000 0.000 13.962
0.000 2.269 1.331
0.000 2.269 6.296
1.965 1.135 16.662
1.965 1.135 21.627
0.000 0.000 3.784
0.000 2.269 19.115
1.965 1.135 11.449
```

---

10.
Simulated PXRD pattern of NiTe2Pb for Cu Ka, from a cell relaxed with GGA-PBE.
Lines closer than 0.1° are merged.

Most intense lines, 10 to 90 degrees two-theta, most intense first:
- 2θ = 15.11°, rel. 100
- 2θ = 25.20°, rel. 82
- 2θ = 33.37°, rel. 81
- 2θ = 36.36°, rel. 77
- 2θ = 28.98°, rel. 65
- 2θ = 27.47°, rel. 62

Cell and atoms:
```
NiTe2Pb
1.0
10.757 0.000 0.000
0.000 3.803 0.000
-3.012 0.000 5.864
Ni Te Pb
2 4 2
Cartesian
0.000 0.000 0.000
5.378 1.902 0.000
-0.154 1.902 1.659
2.151 0.000 4.195
5.224 0.000 1.659
7.529 1.902 4.195
-0.508 1.902 5.798
4.871 0.000 5.798
```

---

11.
Simulated PXRD pattern of Th5NiPb3 for Cu Ka, from a cell relaxed with GGA-PBE.
Lines closer than 0.1° are merged.

Most intense lines, 10 to 90 degrees two-theta, most intense first:
- 2θ = 31.43°, rel. 100
- 2θ = 32.98°, rel. 85
- 2θ = 32.14°, rel. 53
- 2θ = 50.72°, rel. 27
- 2θ = 46.72°, rel. 23
- 2θ = 28.26°, rel. 22

Cell and atoms:
```
Th5NiPb3
1.0
9.647 0.000 0.000
-4.824 8.355 0.000
0.000 0.000 6.572
Th Ni Pb
10 2 6
Cartesian
-1.178 2.040 1.643
-3.646 6.315 4.929
2.355 0.000 1.643
1.178 2.040 4.929
0.000 5.570 0.000
0.000 5.570 3.286
4.824 2.785 0.000
4.824 2.785 3.286
7.292 0.000 4.929
3.646 6.315 1.643
0.000 0.000 0.000
0.000 0.000 3.286
-1.890 3.273 4.929
-2.934 5.081 1.643
3.780 0.000 4.929
1.890 3.273 1.643
5.867 0.000 1.643
2.934 5.081 4.929
```

---

12.
Simulated PXRD pattern of Tm3Ni2Pb3 for Cu Ka, from a cell relaxed with GGA-PBE.
Lines closer than 0.1° are merged.

Most intense lines, 10 to 90 degrees two-theta, most intense first:
- 2θ = 32.17°, rel. 100
- 2θ = 31.74°, rel. 41
- 2θ = 40.17°, rel. 40
- 2θ = 40.01°, rel. 39
- 2θ = 36.59°, rel. 33
- 2θ = 32.96°, rel. 26

Cell and atoms:
```
Tm3Ni2Pb3
1.0
2.245 -5.434 0.000
2.245 5.434 0.000
0.000 0.000 14.999
Tm Ni Pb
6 4 6
Cartesian
2.245 4.647 9.185
2.245 4.647 13.314
2.245 1.608 11.249
2.245 -1.608 3.750
2.245 -4.647 1.685
2.245 -4.647 5.815
2.245 3.316 1.707
2.245 3.316 5.792
2.245 -3.316 9.207
2.245 -3.316 13.292
2.245 1.577 3.750
2.245 1.482 8.016
2.245 1.482 14.483
2.245 -1.482 0.516
2.245 -1.482 6.983
2.245 -1.577 11.249
```

---

Q: Number 6 is which compound?
A: Sm5Ni2Pb5

---

Repeat the twelfth record exactly.
Simulated PXRD pattern of Tm3Ni2Pb3 for Cu Ka, from a cell relaxed with GGA-PBE.
Lines closer than 0.1° are merged.

Most intense lines, 10 to 90 degrees two-theta, most intense first:
- 2θ = 32.17°, rel. 100
- 2θ = 31.74°, rel. 41
- 2θ = 40.17°, rel. 40
- 2θ = 40.01°, rel. 39
- 2θ = 36.59°, rel. 33
- 2θ = 32.96°, rel. 26

Cell and atoms:
```
Tm3Ni2Pb3
1.0
2.245 -5.434 0.000
2.245 5.434 0.000
0.000 0.000 14.999
Tm Ni Pb
6 4 6
Cartesian
2.245 4.647 9.185
2.245 4.647 13.314
2.245 1.608 11.249
2.245 -1.608 3.750
2.245 -4.647 1.685
2.245 -4.647 5.815
2.245 3.316 1.707
2.245 3.316 5.792
2.245 -3.316 9.207
2.245 -3.316 13.292
2.245 1.577 3.750
2.245 1.482 8.016
2.245 1.482 14.483
2.245 -1.482 0.516
2.245 -1.482 6.983
2.245 -1.577 11.249
```